Computed X-ray powder pattern of Mn4O7F for Cu Kα (weighted mean of Kα1 and Kα2), from the PBE+U geometry in Alexandria.

Crystal structure
Cell lengths 4.969, 8.955, 5.483 Å; angles 90.00, 90.16, 90.00 degrees
Fractional positions:
Mn 0.000 0.115 0.000
Mn 0.000 0.376 0.458
Mn 0.000 0.624 0.958
Mn 0.000 0.885 0.500
Mn 0.485 0.377 0.773
Mn 0.485 0.623 0.273
Mn 0.498 0.125 0.277
Mn 0.498 0.875 0.777
O 0.162 0.486 0.728
O 0.162 0.514 0.228
O 0.174 0.005 0.247
O 0.174 0.995 0.747
O 0.320 0.238 0.022
O 0.320 0.762 0.522
O 0.323 0.255 0.516
O 0.323 0.745 0.016
O 0.664 0.488 0.512
O 0.664 0.512 0.012
O 0.671 0.003 0.027
O 0.671 0.997 0.527
O 0.823 0.237 0.237
O 0.823 0.763 0.737
F 0.827 0.250 0.754
F 0.827 0.750 0.254

Principal peaks in the range 2θ = 5–70°, by intensity:
2θ/deg	I (rel.)	(hkl)
31.46	100	1 2 -1
25.69	59	0 2 1
56.18	38	1 4 2
55.23	24	2 4 0
37.47	22	1 0 -2
44.89	19	2 2 1
42.74	17	1 2 -2
62.10	14	3 2 -1
54.21	13	0 2 3
36.16	12	2 0 0
67.75	10	1 6 -1
41.57	9	2 2 0